[1]
Simulated powder diffractogram of CeH4 for copper Kα, from a PBE-relaxed structure.

Structural model:
abc: 3.7425 3.7425 3.7425
angles: 104.97 104.97 118.90
Element x y z (fractional)
Ce 0.0000 0.0000 0.0000
H 0.2087 0.4883 0.6970
H 0.4883 0.7913 0.2796
H 0.5117 0.2087 0.7204
H 0.7913 0.5117 0.3030

Principal peaks in the range 2θ = 10–90°, by angle:
- d = 3.223 Å, 27.68°, I 66
- d = 2.921 Å, 30.61°, I 100
- d = 2.279 Å, 39.54°, I 26
- d = 1.902 Å, 47.82°, I 8
- d = 1.797 Å, 50.82°, I 52
- d = 1.638 Å, 56.15°, I 18
- d = 1.612 Å, 57.16°, I 8
- d = 1.460 Å, 63.73°, I 13
- d = 1.441 Å, 64.67°, I 12
- d = 1.411 Å, 66.24°, I 11
- d = 1.200 Å, 79.97°, I 13
- d = 1.149 Å, 84.30°, I 12

[2]
Simulated powder diffractogram of K2NaO8 for copper Kα, from a PBE-relaxed structure.

Structural model:
abc: 4.7117 5.1942 8.2766
angles: 71.78 74.79 87.00
Element x y z (fractional)
K 0.1555 0.1391 0.2212
K 0.8445 0.8609 0.7788
Na 0.5000 0.5000 0.5000
O 0.0434 0.5584 0.4128
O 0.3207 0.4662 0.8697
O 0.3458 0.2366 0.8332
O 0.3751 0.9284 0.5209
O 0.6249 0.0716 0.4791
O 0.6542 0.7634 0.1668
O 0.6793 0.5338 0.1303
O 0.9566 0.4416 0.5872

Principal peaks in the range 2θ = 10–90°, by angle:
- d = 7.593 Å, 11.65°, I 52
- d = 3.576 Å, 24.90°, I 86
- d = 3.397 Å, 26.23°, I 51
- d = 3.124 Å, 28.57°, I 43
- d = 2.659 Å, 33.70°, I 32
- d = 2.601 Å, 34.48°, I 40
- d = 2.593 Å, 34.59°, I 85
- d = 2.554 Å, 35.14°, I 59
- d = 2.531 Å, 35.47°, I 70
- d = 2.505 Å, 35.84°, I 92
- d = 2.351 Å, 38.29°, I 100
- d = 2.039 Å, 44.43°, I 34

[3]
Simulated powder diffractogram of BaScOsO6 for copper Kα, from a PBE-relaxed structure.

Structural model:
abc: 5.3985 5.3985 5.7310
angles: 90.00 90.00 120.00
Element x y z (fractional)
Ba 0.0000 0.0000 0.0000
Sc 0.3333 0.6667 0.5000
Os 0.6667 0.3333 0.5000
O 0.3961 0.0273 0.6909
O 0.3961 0.3688 0.3091
O 0.6312 0.0273 0.3091
O 0.6312 0.6039 0.6909
O 0.9727 0.3688 0.6909
O 0.9727 0.6039 0.3091

Principal peaks in the range 2θ = 10–90°, by angle:
- d = 5.731 Å, 15.46°, I 12
- d = 4.675 Å, 18.98°, I 20
- d = 3.623 Å, 24.57°, I 100
- d = 2.699 Å, 33.19°, I 29
- d = 2.443 Å, 36.80°, I 11
- d = 2.164 Å, 41.73°, I 21
- d = 1.965 Å, 46.20°, I 36
- d = 1.768 Å, 51.70°, I 14
- d = 1.689 Å, 54.33°, I 22
- d = 1.559 Å, 59.29°, I 11
- d = 1.297 Å, 72.93°, I 11
- d = 1.265 Å, 75.09°, I 16

[4]
Simulated powder diffractogram of KMg7Tl12 for copper Kα, from a PBE-relaxed structure.

Structural model:
abc: 9.5177 9.5177 9.5177
angles: 109.47 109.47 109.47
Element x y z (fractional)
K 0.0000 0.0000 0.0000
Mg 0.0000 0.0000 0.5000
Mg 0.0000 0.5000 0.0000
Mg 0.0000 0.5000 0.5000
Mg 0.5000 0.0000 0.0000
Mg 0.5000 0.0000 0.5000
Mg 0.5000 0.5000 0.0000
Mg 0.5000 0.5000 0.5000
Tl 0.1086 0.7631 0.3456
Tl 0.2369 0.3456 0.5825
Tl 0.2369 0.6544 0.8914
Tl 0.3456 0.1086 0.7631
Tl 0.3456 0.5825 0.2369
Tl 0.4175 0.7631 0.6544
Tl 0.5825 0.2369 0.3456
Tl 0.6544 0.4175 0.7631
Tl 0.6544 0.8914 0.2369
Tl 0.7631 0.3456 0.1086
Tl 0.7631 0.6544 0.4175
Tl 0.8914 0.2369 0.6544

Principal peaks in the range 2θ = 10–90°, by angle:
- d = 7.771 Å, 11.39°, I 68
- d = 4.487 Å, 19.79°, I 39
- d = 3.886 Å, 22.89°, I 27
- d = 3.475 Å, 25.63°, I 82
- d = 2.937 Å, 30.43°, I 68
- d = 2.457 Å, 36.57°, I 100
- d = 2.343 Å, 38.42°, I 35
- d = 2.243 Å, 40.20°, I 27
- d = 2.155 Å, 41.92°, I 26
- d = 1.885 Å, 48.29°, I 28
- d = 1.524 Å, 60.77°, I 27
- d = 1.469 Å, 63.33°, I 33